For KInS6, a structure optimized by DFT (GGA-PBE) gives the calculated powder diffractogram in this record (Cu Ka).

Atomic structure:
```
KInS6
1.0
5.661 0.000 0.000
1.353 5.772 0.000
1.068 0.088 7.248
K In S
1 1 6
Direct
0.000 0.000 0.000
0.000 0.500 0.500
0.208 0.088 0.404
0.325 0.575 0.241
0.397 0.224 0.171
0.603 0.776 0.829
0.675 0.425 0.759
0.792 0.912 0.596
```

Most intense lines, 10° ≤ 2θ ≤ 90°, in order of rising 2θ:
12.21 deg, intensity 35, hkl 0 0 1
18.94 deg, intensity 100, hkl 1 0 1
19.77 deg, intensity 46, hkl 0 1 -1
21.91 deg, intensity 42, hkl 1 1 1
27.58 deg, intensity 36, hkl 1 0 2
31.48 deg, intensity 17, hkl 1 0 -2
33.28 deg, intensity 20, hkl 0 2 1
33.59 deg, intensity 26, hkl 1 1 -2
37.01 deg, intensity 26, hkl 2 1 -1
38.43 deg, intensity 45, hkl 1 -2 0